[1]
The following is a calculated powder diffractogram of SnGePd2. It was derived from a DFT-relaxed cell (PBE, OQMD), using Cu Kα, 1.54184 Å.
Kinematic intensities with the Lorentz-polarization factor, no thermal factor.

Peak list (10 most intense, 2θ from 15° to 90°, in order of falling intensity)
2theta  d_spacing  I (rel.)
40.20  2.243  100
40.44  2.231  100
31.73  2.820  76
31.36  2.852  40
50.37  1.812  32
49.62  1.837  32
28.30  3.153  27
45.37  1.999  26
66.26  1.411  24
79.87  1.201  24

Crystal structure
```
SnGePd2
1.0
3.623 0.000 0.000
0.000 6.313 0.000
0.000 0.000 6.395
Sn Ge Pd
2 2 4
direct
0.000 0.053 0.000
0.500 0.947 0.500
0.000 0.565 0.340
0.500 0.435 0.840
0.000 0.268 0.608
0.000 0.719 0.731
0.500 0.281 0.231
0.500 0.732 0.108
```

[2]
The following is a calculated powder diffractogram of SrSn2GePd. It was derived from a DFT-relaxed cell (PBE, OQMD), using Cu Kα, 1.54184 Å.
Kinematic intensities with the Lorentz-polarization factor, no thermal factor.

Peak list (10 most intense, 2θ from 15° to 90°, in order of falling intensity)
2theta  d_spacing  I (rel.)
31.18  2.869  100
37.90  2.374  63
42.40  2.132  37
30.74  2.909  29
64.29  1.449  26
54.67  1.679  22
16.06  5.520  18
49.56  1.839  18
45.30  2.002  16
71.53  1.319  16

Crystal structure
```
SrSn2GePd
1.0
-2.374 2.374 5.520
2.374 -2.374 5.520
2.374 2.374 -5.520
Sr Sn Ge Pd
1 2 1 1
direct
0.000 0.000 0.000
0.255 0.755 0.500
0.755 0.255 0.500
0.413 0.413 0.000
0.636 0.636 0.000
```

[3]
The following is a calculated powder diffractogram of Ta2Ge3Pd2. It was derived from a DFT-relaxed cell (PBE, OQMD), using Cu Kα, 1.54184 Å.
Kinematic intensities with the Lorentz-polarization factor, no thermal factor.

Peak list (10 most intense, 2θ from 15° to 90°, in order of falling intensity)
2theta  d_spacing  I (rel.)
38.93  2.314  100
42.75  2.115  86
28.59  3.122  51
59.18  1.561  29
75.72  1.256  28
64.28  1.449  15
78.28  1.221  14
67.82  1.382  14
25.43  3.503  14
52.23  1.751  10

Crystal structure
```
Ta2Ge3Pd2
1.0
2.115 1.221 7.957
-2.115 1.221 7.957
0.000 -2.443 7.957
Ta Ge Pd
2 3 2
direct
0.000 0.000 0.000
0.496 0.496 0.496
0.388 0.388 0.388
0.618 0.618 0.618
0.858 0.858 0.858
0.249 0.249 0.249
0.746 0.746 0.746
```

[4]
The following is a calculated powder diffractogram of TbTmGe4Pd2. It was derived from a DFT-relaxed cell (PBE, OQMD), using Cu Kα, 1.54184 Å.
Kinematic intensities with the Lorentz-polarization factor, no thermal factor.

Peak list (10 most intense, 2θ from 15° to 90°, in order of falling intensity)
2theta  d_spacing  I (rel.)
34.08  2.630  100
33.41  2.682  50
44.83  2.022  36
41.71  2.165  34
31.06  2.879  29
54.46  1.685  26
46.03  1.972  26
66.20  1.412  22
63.85  1.458  19
28.38  3.144  15

Crystal structure
```
TbTmGe4Pd2
1.0
4.331 0.000 0.000
0.000 1.972 9.146
0.000 -1.972 9.146
Tb Tm Ge Pd
1 1 4 2
direct
0.000 0.000 0.000
0.500 0.797 0.797
0.000 0.364 0.364
0.000 0.643 0.643
0.500 0.155 0.155
0.500 0.432 0.432
0.000 0.232 0.232
0.500 0.565 0.565
```

[5]
The following is a calculated powder diffractogram of TbYGe2Pd. It was derived from a DFT-relaxed cell (PBE, OQMD), using Cu Kα, 1.54184 Å.
Kinematic intensities with the Lorentz-polarization factor, no thermal factor.

Peak list (10 most intense, 2θ from 15° to 90°, in order of falling intensity)
2theta  d_spacing  I (rel.)
40.14  2.246  100
33.33  2.689  72
36.44  2.465  68
41.44  2.179  64
32.61  2.746  60
33.21  2.698  43
33.82  2.650  32
39.19  2.299  27
65.14  1.432  23
32.78  2.732  22

Crystal structure
```
TbYGe2Pd
1.0
5.309 -2.179 0.000
5.309 2.179 0.000
-4.792 0.000 9.195
Tb Y Ge Pd
2 2 4 2
direct
0.010 0.010 0.329
0.990 0.990 0.671
0.185 0.185 0.108
0.815 0.815 0.892
0.361 0.361 0.433
0.474 0.474 0.115
0.526 0.526 0.885
0.639 0.639 0.567
0.276 0.276 0.652
0.724 0.724 0.348
```

[6]
The following is a calculated powder diffractogram of TmZn2GePd4. It was derived from a DFT-relaxed cell (PBE, OQMD), using Cu Kα, 1.54184 Å.
Kinematic intensities with the Lorentz-polarization factor, no thermal factor.

Peak list (10 most intense, 2θ from 15° to 90°, in order of falling intensity)
2theta  d_spacing  I (rel.)
39.64  2.274  100
40.36  2.235  50
72.90  1.298  32
58.40  1.580  16
71.44  1.320  15
85.40  1.137  9
56.20  1.637  8
31.43  2.846  7
24.11  3.691  6
87.25  1.117  5

Crystal structure
```
TmZn2GePd4
1.0
4.469 0.000 0.000
0.000 4.469 0.000
0.000 0.000 6.547
Tm Zn Ge Pd
1 2 1 4
direct
0.000 0.000 0.000
0.000 0.000 0.500
0.500 0.500 0.000
0.500 0.500 0.500
0.000 0.500 0.273
0.000 0.500 0.727
0.500 0.000 0.273
0.500 0.000 0.727
```

[7]
The following is a calculated powder diffractogram of Pm5Ge3. It was derived from a DFT-relaxed cell (PBE, OQMD), using Cu Kα, 1.54184 Å.
Kinematic intensities with the Lorentz-polarization factor, no thermal factor.

Peak list (10 most intense, 2θ from 15° to 90°, in order of falling intensity)
2theta  d_spacing  I (rel.)
33.98  2.638  100
33.79  2.653  91
35.43  2.534  43
31.13  2.873  39
29.28  3.050  32
52.06  1.757  30
49.76  1.832  24
55.69  1.650  21
54.39  1.687  14
23.41  3.801  14

Crystal structure
```
Pm5Ge3
1.0
8.777 0.000 0.000
-4.389 7.601 0.000
0.000 0.000 6.660
Pm Ge
10 6
direct
0.000 0.245 0.250
0.000 0.755 0.750
0.245 0.000 0.250
0.245 0.245 0.750
0.333 0.667 0.000
0.333 0.667 0.500
0.667 0.333 0.000
0.667 0.333 0.500
0.755 0.000 0.750
0.755 0.755 0.250
0.000 0.393 0.750
0.000 0.607 0.250
0.393 0.000 0.750
0.393 0.393 0.250
0.607 0.000 0.250
0.607 0.607 0.750
```

[8]
The following is a calculated powder diffractogram of Pm2Ge. It was derived from a DFT-relaxed cell (PBE, OQMD), using Cu Kα, 1.54184 Å.
Kinematic intensities with the Lorentz-polarization factor, no thermal factor.

Peak list (10 most intense, 2θ from 15° to 90°, in order of falling intensity)
2theta  d_spacing  I (rel.)
33.87  2.647  100
35.42  2.534  64
17.50  5.068  37
54.30  1.689  35
59.58  1.552  33
71.26  1.323  25
84.84  1.143  22
41.13  2.195  17
70.32  1.339  12
28.77  3.104  11

Crystal structure
```
Pm2Ge
1.0
0.000 4.389 4.389
4.389 0.000 4.389
4.389 4.389 0.000
Pm Ge
4 2
direct
0.000 0.000 0.000
0.000 0.000 0.500
0.000 0.500 0.000
0.500 0.000 0.000
0.375 0.375 0.375
0.625 0.625 0.625
```